[1]
Structure and calculated PXRD pattern of Ba2CuTeO6 (a DFT-relaxed cell (GGA-PBE, the Materials Project); Cu Kα, 1.54184 Å).
Intensities are scaled so that the largest is 100.

Peak list (8 most intense, 15° ≤ 2θ ≤ 90°, by angle)
- d = 3.246 Å, I 40.0, (1 1 2)
- d = 3.221 Å, I 20.7, (2 0 -3)
- d = 2.968 Å, I 100.0, (3 1 -1)
- d = 2.955 Å, I 27.3, (1 1 -3)
- d = 2.910 Å, I 47.1, (0 2 0)
- d = 2.549 Å, I 23.2, (1 1 3)
- d = 2.159 Å, I 24.5, (2 2 -3)
- d = 2.095 Å, I 19.2, (4 0 -4)

Structural model:
```
data_Ba2CuTeO6
_chemical_formula_sum 'Ba8 Cu4 Te4 O24'
_cell_length_a 10.353
_cell_length_b 5.820
_cell_length_c 10.292
_cell_angle_alpha 90.00
_cell_angle_beta 108.34
_cell_angle_gamma 90.00
_space_group_name_H-M_alt 'C 1 2/m 1'
_space_group_IT_number 12
loop_
_space_group_symop_operation_xyz
'x,y,z'
'-x,-y,-z'
'-x,y,-z'
'x,-y,z'
'x+1/2,y+1/2,z'
'-x+1/2,-y+1/2,-z'
'-x+1/2,y+1/2,-z'
'x+1/2,-y+1/2,z'
loop_
_atom_site_label
_atom_site_type_symbol
_atom_site_fract_x
_atom_site_fract_y
_atom_site_fract_z
_atom_site_occupancy
Ba1 Ba 0.128 0.000 0.375 1
Ba2 Ba 0.214 0.500 0.145 1
Cu1 Cu 0.096 0.500 0.784 1
Te1 Te 0.000 0.000 0.000 1
Te2 Te 0.000 0.500 0.500 1
O1 O 0.048 0.238 0.886 1
O2 O 0.105 0.269 0.630 1
O3 O 0.134 0.500 0.403 1
O4 O 0.186 0.000 0.126 1
```


[2]
Structure and calculated PXRD pattern of Ba2CuTeO6 (a DFT-relaxed cell (GGA-PBE, the Materials Project); Cu Kα, 1.54184 Å).
Intensities are scaled so that the largest is 100.

Peak list (8 most intense, 15° ≤ 2θ ≤ 90°, by angle)
- d = 2.977 Å, I 100.0, (1 1 2)
- d = 2.824 Å, I 43.0, (2 0 0)
- d = 2.232 Å, I 18.0, (0 0 4)
- d = 1.997 Å, I 26.2, (2 2 0)
- d = 1.751 Å, I 20.2, (2 0 4)
- d = 1.658 Å, I 35.7, (3 1 2)
- d = 1.488 Å, I 18.5, (2 2 4)
- d = 1.143 Å, I 11.7, (3 1 6)

Structural model:
```
data_Ba2CuTeO6
_chemical_formula_sum 'Ba4 Cu2 Te2 O12'
_cell_length_a 5.648
_cell_length_b 5.648
_cell_length_c 8.928
_cell_angle_alpha 90.00
_cell_angle_beta 90.00
_cell_angle_gamma 90.00
_space_group_name_H-M_alt 'I 4/m'
_space_group_IT_number 87
_space_group_name_Hall '-I 4'
loop_
_atom_site_label
_atom_site_type_symbol
_atom_site_fract_x
_atom_site_fract_y
_atom_site_fract_z
_atom_site_occupancy
Ba1 Ba 0.000 0.500 0.250 1
Cu1 Cu 0.000 0.000 0.000 1
Te1 Te 0.000 0.000 0.500 1
O1 O 0.000 0.000 0.283 1
O2 O 0.241 0.742 0.500 1
```